1.
Simulated X-ray diffraction stick pattern
Compound: MgCo2Bi4O12
Radiation: Cu Kα, 1.54184 Å
Structure: a cell relaxed with GGA+U
Kinematic intensities with the Lorentz-polarization factor, no thermal factor.

Structure:
abc: 5.028 9.921 5.169
angles: 90.00 90.57 90.00
Fractional coordinates of all 19 atoms:
Mg 0.000 0.000 0.000
Co 0.000 0.501 0.500
Co 0.500 0.001 0.000
Bi 0.000 0.178 0.500
Bi 0.000 0.823 0.500
Bi 0.500 0.335 0.000
Bi 0.500 0.666 0.000
O 0.210 0.342 0.331
O 0.212 0.660 0.331
O 0.215 0.001 0.320
O 0.263 0.149 0.847
O 0.265 0.851 0.847
O 0.281 0.501 0.805
O 0.719 0.501 0.195
O 0.735 0.851 0.153
O 0.737 0.149 0.153
O 0.785 0.001 0.680
O 0.788 0.660 0.669
O 0.790 0.342 0.669

Peak list (8 most intense, 2θ from 10° to 80°, by angle)
2θ = 24.58°, I 1000, hkl 1 0 -1
2θ = 24.83°, I 991, hkl 1 0 1
2θ = 32.13°, I 879, hkl 0 3 1
2θ = 32.41°, I 876, hkl 1 3 0
2θ = 34.71°, I 358, hkl 0 0 2
2θ = 48.08°, I 334, hkl 1 3 -2
2θ = 48.66°, I 415, hkl 2 3 -1
2θ = 48.94°, I 383, hkl 2 3 1

***

2.
Simulated X-ray diffraction stick pattern
Compound: Na3EuV2O8
Radiation: Cu Kα, 1.54184 Å
Structure: a cell relaxed with GGA+U
Kinematic intensities with the Lorentz-polarization factor, no thermal factor.

Structure:
abc: 5.988 5.988 7.327
angles: 90.00 90.00 120.00
Fractional coordinates of all 14 atoms:
Na 0.000 0.000 0.000
Na 0.333 0.667 0.694
Na 0.667 0.333 0.306
Eu 0.000 0.000 0.500
V 0.333 0.667 0.221
V 0.667 0.333 0.779
O 0.174 0.348 0.305
O 0.174 0.826 0.305
O 0.333 0.667 0.992
O 0.348 0.174 0.695
O 0.652 0.826 0.305
O 0.667 0.333 0.008
O 0.826 0.174 0.695
O 0.826 0.652 0.695

Peak list (8 most intense, 2θ from 10° to 80°, by angle)
2θ = 12.08°, I 209, hkl 0 0 1
2θ = 17.10°, I 159, hkl 1 0 0
2θ = 20.99°, I 671, hkl 1 0 1
2θ = 29.85°, I 1000, hkl 1 1 0
2θ = 42.72°, I 291, hkl 2 0 2
2θ = 48.06°, I 186, hkl 2 1 1
2θ = 52.98°, I 312, hkl 3 0 0
2θ = 62.00°, I 153, hkl 2 2 0